For Ce6GaRh10, DFT lattice parameters and positions (PBE) gives the computed powder diffraction line list in this record (CuKα).

Structural model:
Unit cell a=7.862 b=7.862 c=6.137 alpha=90.00 beta=90.00 gamma=120.00
Atoms (fractional coordinates):
1 Ce 0.000 0.384 0.266
2 Ce 0.000 0.616 0.734
3 Ce 0.384 0.000 0.266
4 Ce 0.384 0.384 0.734
5 Ce 0.616 0.000 0.734
6 Ce 0.616 0.616 0.266
7 Ga 0.000 0.000 0.500
8 Rh 0.000 0.229 0.819
9 Rh 0.000 0.771 0.181
10 Rh 0.229 0.000 0.819
11 Rh 0.229 0.229 0.181
12 Rh 0.333 0.667 0.000
13 Rh 0.333 0.667 0.500
14 Rh 0.667 0.333 0.000
15 Rh 0.667 0.333 0.500
16 Rh 0.771 0.000 0.181
17 Rh 0.771 0.771 0.819

Principal peaks in the range 2θ from 5° to 70°, in order of rising 2θ:
3.310 Å, 2θ = 26.94°, intensity 23
3.069 Å, 2θ = 29.10°, intensity 16
2.573 Å, 2θ = 34.86°, intensity 18
2.419 Å, 2θ = 37.17°, intensity 100
2.373 Å, 2θ = 37.91°, intensity 98
2.270 Å, 2θ = 39.72°, intensity 49
1.872 Å, 2θ = 48.64°, intensity 21
1.815 Å, 2θ = 50.28°, intensity 10
1.655 Å, 2θ = 55.52°, intensity 20
1.601 Å, 2θ = 57.56°, intensity 11

***

For Ce4Ga16Rh3, DFT lattice parameters and positions (PBE) gives the computed powder diffraction line list in this record (CuKα).

Structural model:
Unit cell a=6.216 b=6.216 c=11.237 alpha=90.00 beta=90.00 gamma=90.00
Atoms (fractional coordinates):
1 Ce 0.000 0.500 0.193
2 Ce 0.000 0.500 0.807
3 Ce 0.500 0.000 0.193
4 Ce 0.500 0.000 0.807
5 Ga 0.000 0.000 0.199
6 Ga 0.000 0.000 0.801
7 Ga 0.213 0.213 0.000
8 Ga 0.213 0.787 0.000
9 Ga 0.249 0.249 0.381
10 Ga 0.249 0.249 0.619
11 Ga 0.249 0.751 0.381
12 Ga 0.249 0.751 0.619
13 Ga 0.500 0.500 0.226
14 Ga 0.500 0.500 0.774
15 Ga 0.751 0.249 0.381
16 Ga 0.751 0.249 0.619
17 Ga 0.751 0.751 0.381
18 Ga 0.751 0.751 0.619
19 Ga 0.787 0.213 0.000
20 Ga 0.787 0.787 0.000
21 Rh 0.000 0.500 0.500
22 Rh 0.500 0.000 0.500
23 Rh 0.500 0.500 0.000

Principal peaks in the range 2θ from 5° to 70°, in order of rising 2θ:
4.395 Å, 2θ = 20.20°, intensity 15
2.851 Å, 2θ = 31.38°, intensity 34
2.720 Å, 2θ = 32.93°, intensity 32
2.392 Å, 2θ = 37.61°, intensity 100
2.247 Å, 2θ = 40.12°, intensity 22
2.198 Å, 2θ = 41.07°, intensity 77
2.084 Å, 2θ = 43.42°, intensity 25
1.741 Å, 2θ = 52.58°, intensity 13
1.571 Å, 2θ = 58.77°, intensity 26
1.554 Å, 2θ = 59.48°, intensity 24

***

For Ce2Ga9Rh3, DFT lattice parameters and positions (PBE) gives the computed powder diffraction line list in this record (CuKα).

Structural model:
Unit cell a=7.669 b=7.669 c=10.484 alpha=111.50 beta=111.50 gamma=59.86
Atoms (fractional coordinates):
1 Ce 0.085 0.251 0.250
2 Ce 0.251 0.085 0.750
3 Ce 0.749 0.915 0.250
4 Ce 0.915 0.749 0.750
5 Ga 0.027 0.859 0.079
6 Ga 0.141 0.973 0.421
7 Ga 0.194 0.360 0.579
8 Ga 0.212 0.581 0.252
9 Ga 0.311 0.479 0.937
10 Ga 0.360 0.194 0.079
11 Ga 0.374 0.626 0.750
12 Ga 0.419 0.788 0.248
13 Ga 0.479 0.311 0.437
14 Ga 0.521 0.689 0.563
15 Ga 0.581 0.212 0.752
16 Ga 0.626 0.374 0.250
17 Ga 0.640 0.806 0.921
18 Ga 0.689 0.521 0.063
19 Ga 0.788 0.419 0.748
20 Ga 0.806 0.640 0.421
21 Ga 0.859 0.027 0.579
22 Ga 0.973 0.141 0.921
23 Rh 0.000 0.500 0.000
24 Rh 0.160 0.671 0.500
25 Rh 0.329 0.840 0.000
26 Rh 0.500 0.000 0.500
27 Rh 0.671 0.160 0.000
28 Rh 0.840 0.329 0.500

Principal peaks in the range 2θ from 5° to 70°, in order of rising 2θ:
2.982 Å, 2θ = 29.96°, intensity 21
2.441 Å, 2θ = 36.82°, intensity 100
2.375 Å, 2θ = 37.88°, intensity 18
2.212 Å, 2θ = 40.79°, intensity 91
2.019 Å, 2θ = 44.90°, intensity 16
2.005 Å, 2θ = 45.22°, intensity 15
1.778 Å, 2θ = 51.40°, intensity 10
1.640 Å, 2θ = 56.08°, intensity 10
1.619 Å, 2θ = 56.88°, intensity 13
1.463 Å, 2θ = 63.58°, intensity 14